No. 1
# La6CeAl
Calculated powder XRD pattern, Cu Kα (weighted mean of Kα1 and Kα2). Input: the GGA-PBE geometry in Alexandria.
Kinematic intensities with the Lorentz-polarization factor, no thermal factor.

Structure:
a b c (Å): 12.401 7.098 6.150
angles (deg): 90.00 108.44 90.00
Space group Cm (No. 8)
Symmetry-distinct sites (fractional):
La  0.000  0.000  0.000
La  0.041  0.268  0.539
La  0.270  0.250  0.071
La  0.301  0.000  0.592
Ce  0.276  0.500  0.523
Al  0.032  0.500  0.053

Principal peaks in the range 2θ = 10–90°, by angle:
2θ/deg	I/Imax	h k l
29.40	14	4 0 -1
30.39	47	4 0 0
30.65	47	0 0 2
30.88	100	2 2 -1
35.47	64	2 2 1
35.85	31	4 0 -2
51.15	19	6 2 -1
51.49	31	0 4 0
60.96	18	4 4 0
61.36	15	6 2 -3

---

No. 2
# LaCe3Al8
Calculated powder XRD pattern, Cu Kα (weighted mean of Kα1 and Kα2). Input: the GGA-PBE geometry in Alexandria.
Kinematic intensities with the Lorentz-polarization factor, no thermal factor.

Structure:
a b c (Å): 5.6825 5.6825 9.0815
angles (deg): 90.00 90.00 120.00
Space group P3m1 (No. 156)
Symmetry-distinct sites (fractional):
La  0.0000  0.0000  0.0000
Ce  0.0000  0.0000  0.3553
Ce  0.6667  0.3333  0.5132
Ce  0.6667  0.3333  0.8365
Al  0.1614  0.3229  0.6736
Al  0.3333  0.6667  0.4272
Al  0.3333  0.6667  0.9235
Al  0.5054  0.0108  0.1800

Principal peaks in the range 2θ = 10–90°, by angle:
2θ/deg	I/Imax	h k l
18.03	37	1 0 0
20.53	45	1 0 1
31.49	73	1 1 0
34.79	100	1 0 3
37.33	48	1 1 2
37.88	40	0 2 1
47.63	17	0 2 3
58.22	43	2 1 3
65.73	17	2 2 0
76.57	20	1 3 3

---

No. 3
# LiCeAl3
Calculated powder XRD pattern, Cu Kα (weighted mean of Kα1 and Kα2). Input: the GGA-PBE geometry in Alexandria.
Kinematic intensities with the Lorentz-polarization factor, no thermal factor.

Structure:
a b c (Å): 5.348 15.781 5.253
angles (deg): 90.00 90.00 90.00
Space group Cmcm (No. 63)
Symmetry-distinct sites (fractional):
Li  0.000  0.053  0.250
Ce  0.000  0.305  0.750
Al  0.000  0.500  0.000
Al  0.245  0.123  0.750

Principal peaks in the range 2θ = 10–90°, by angle:
2θ/deg	I/Imax	h k l
11.21	44	0 2 0
17.51	31	1 1 0
23.73	27	1 3 0
24.41	100	1 1 1
28.29	36	0 4 1
32.95	38	1 5 0
34.13	23	0 0 2
38.27	30	0 6 1
39.50	35	2 2 1
42.00	30	1 3 2

---

No. 4
# CeMg2Al
Calculated powder XRD pattern, Cu Kα (weighted mean of Kα1 and Kα2). Input: the GGA-PBE geometry in Alexandria.
Kinematic intensities with the Lorentz-polarization factor, no thermal factor.

Structure:
a b c (Å): 3.0395 3.0395 33.7561
angles (deg): 90.00 90.00 120.00
Space group R-3m (No. 166, hexagonal axes)
Symmetry-distinct sites (fractional):
Ce  0.0000  0.0000  0.0000
Mg  0.0000  0.0000  0.0955
Al  0.0000  0.0000  0.5000

Principal peaks in the range 2θ = 10–90°, by angle:
2θ/deg	I/Imax	h k l
15.75	96	0 0 6
23.72	53	0 0 9
31.81	47	0 0 12
34.17	72	1 0 1
34.48	100	0 1 2
35.73	44	1 0 4
40.39	55	0 1 8
43.60	70	1 0 10
45.39	35	0 1 11
70.42	28	1 1 12

---

No. 5
# CeMg3Al8
Calculated powder XRD pattern, Cu Kα (weighted mean of Kα1 and Kα2). Input: the GGA-PBE geometry in Alexandria.
Kinematic intensities with the Lorentz-polarization factor, no thermal factor.

Structure:
a b c (Å): 5.5200 5.5200 8.8023
angles (deg): 90.00 90.00 120.00
Space group P3m1 (No. 156)
Symmetry-distinct sites (fractional):
Ce  0.0000  0.0000  0.0000
Mg  0.0000  0.0000  0.3780
Mg  0.6667  0.3333  0.4995
Mg  0.6667  0.3333  0.8645
Al  0.1619  0.3239  0.6854
Al  0.3333  0.6667  0.4445
Al  0.3333  0.6667  0.9368
Al  0.5037  0.0073  0.1894

Principal peaks in the range 2θ = 10–90°, by angle:
2θ/deg	I/Imax	h k l
10.05	64	0 0 1
18.56	45	1 0 0
21.15	76	1 0 1
27.55	46	0 1 2
32.44	51	1 1 0
35.91	91	0 1 3
38.50	100	1 1 2
39.05	74	2 0 1
60.14	37	1 2 3
65.89	28	0 2 5

---

No. 6
# Ce2MgAl3
Calculated powder XRD pattern, Cu Kα (weighted mean of Kα1 and Kα2). Input: the GGA-PBE geometry in Alexandria.
Kinematic intensities with the Lorentz-polarization factor, no thermal factor.

Structure:
a b c (Å): 5.7921 5.7921 13.5890
angles (deg): 90.00 90.00 120.00
Space group R-3m (No. 166, hexagonal axes)
Symmetry-distinct sites (fractional):
Ce  0.0000  0.0000  0.1051
Mg  0.0000  0.0000  0.5000
Al  0.0000  0.5000  0.0000

Principal peaks in the range 2θ = 10–90°, by angle:
2θ/deg	I/Imax	h k l
18.86	100	1 0 1
30.88	84	1 1 0
31.81	61	1 0 4
36.43	53	0 2 1
36.84	37	1 1 3
37.64	69	0 1 5
51.20	19	1 1 6
55.51	25	2 1 4
59.44	36	1 2 5
64.33	19	2 2 0

---

No. 7
# Ce2MgAlOs2
Calculated powder XRD pattern, Cu Kα (weighted mean of Kα1 and Kα2). Input: the GGA-PBE geometry in Alexandria.
Kinematic intensities with the Lorentz-polarization factor, no thermal factor.

Structure:
a b c (Å): 7.874 10.792 6.107
angles (deg): 90.00 90.00 90.00
Space group Ibam (No. 72)
Symmetry-distinct sites (fractional):
Ce  0.232  0.178  0.000
Mg  0.000  0.500  0.250
Al  0.000  0.000  0.250
Os  0.232  0.099  0.500

Principal peaks in the range 2θ = 10–90°, by angle:
2θ/deg	I/Imax	h k l
22.58	100	2 0 0
24.75	16	1 2 1
29.25	56	0 0 2
37.27	78	2 0 2
38.22	74	1 4 1
40.53	22	2 4 0
44.83	17	0 4 2
46.11	19	4 0 0
50.78	43	3 4 1
57.96	26	1 4 3

---

No. 8
# CeMnAl11
Calculated powder XRD pattern, Cu Kα (weighted mean of Kα1 and Kα2). Input: the GGA-PBE geometry in Alexandria.
Kinematic intensities with the Lorentz-polarization factor, no thermal factor.

Structure:
a b c (Å): 5.232 12.654 7.062
angles (deg): 90.00 111.24 90.00
Space group C2/m (No. 12)
Symmetry-distinct sites (fractional):
Ce  0.000  0.000  0.000
Mn  0.000  0.500  0.500
Al  0.000  0.000  0.500
Al  0.105  0.394  0.226
Al  0.197  0.171  0.362
Al  0.250  0.250  0.000

Principal peaks in the range 2θ = 10–90°, by angle:
2θ/deg	I/Imax	h k l
14.00	79	0 2 0
19.61	74	1 1 -1
28.01	60	1 3 -1
34.01	66	1 3 1
34.23	63	2 0 -1
39.09	59	1 1 -3
39.51	100	0 4 2
39.61	76	2 2 0
39.83	65	2 2 -2
40.18	84	1 5 -1

---

No. 9
# Ce2MnAl
Calculated powder XRD pattern, Cu Kα (weighted mean of Kα1 and Kα2). Input: the GGA-PBE geometry in Alexandria.
Kinematic intensities with the Lorentz-polarization factor, no thermal factor.

Structure:
a b c (Å): 5.643 5.993 11.554
angles (deg): 90.00 117.40 90.00
Space group P2_1/c (No. 14)
Symmetry-distinct sites (fractional):
Ce  0.047  0.237  0.106
Ce  0.351  0.196  0.392
Mn  0.450  0.009  0.100
Al  0.266  0.742  0.719

Principal peaks in the range 2θ = 10–90°, by angle:
2θ/deg	I/Imax	h k l
23.14	55	1 1 0
23.52	79	1 1 -2
29.82	48	0 2 0
31.73	46	2 0 -2
33.72	100	1 1 2
34.52	81	1 1 -4
34.96	70	0 0 4
35.17	41	2 1 -2
43.59	22	1 2 -4
44.10	39	2 2 -2

---

No. 10
# Ce2Mn7Al10
Calculated powder XRD pattern, Cu Kα (weighted mean of Kα1 and Kα2). Input: the GGA-PBE geometry in Alexandria.
Kinematic intensities with the Lorentz-polarization factor, no thermal factor.

Structure:
a b c (Å): 9.969 8.915 6.693
angles (deg): 90.00 99.40 90.00
Space group Cm (No. 8)
Symmetry-distinct sites (fractional):
Ce  0.000  0.000  0.000
Ce  0.201  0.500  0.295
Mn  0.005  0.000  0.512
Mn  0.097  0.242  0.662
Mn  0.189  0.500  0.820
Mn  0.249  0.238  0.999
Mn  0.344  0.000  0.153
Al  0.195  0.147  0.359
Al  0.237  0.000  0.766
Al  0.342  0.310  0.667
Al  0.442  0.249  0.313
Al  0.468  0.000  0.551
Al  0.498  0.150  0.952

Principal peaks in the range 2θ = 10–90°, by angle:
2θ/deg	I/Imax	h k l
13.41	46	1 1 0
28.87	89	1 1 -2
29.02	50	3 1 0
30.08	45	2 0 -2
40.47	47	0 4 0
40.71	100	2 2 2
40.88	57	1 3 -2
40.99	82	3 3 0
42.09	57	4 0 -2
59.80	41	2 2 -4

---

No. 11
# Ce3MnAl
Calculated powder XRD pattern, Cu Kα (weighted mean of Kα1 and Kα2). Input: the GGA-PBE geometry in Alexandria.
Kinematic intensities with the Lorentz-polarization factor, no thermal factor.

Structure:
a b c (Å): 6.636 6.397 10.909
angles (deg): 90.00 92.74 90.00
Space group P2/c (No. 13)
Symmetry-distinct sites (fractional):
Ce  0.117  0.247  0.048
Ce  0.309  0.467  0.294
Ce  0.381  0.215  0.567
Mn  0.071  0.269  0.632
Al  0.203  0.010  0.803

Principal peaks in the range 2θ = 10–90°, by angle:
2θ/deg	I/Imax	h k l
21.42	37	0 1 2
25.75	27	1 1 2
30.89	26	2 0 -2
31.13	92	2 1 -1
31.86	84	1 1 3
32.46	100	0 2 2
34.97	67	1 0 -4
35.55	41	1 2 2
36.25	41	1 0 4
46.70	25	1 1 5

---

No. 12
# Ce2Al41Mo3
Calculated powder XRD pattern, Cu Kα (weighted mean of Kα1 and Kα2). Input: the GGA-PBE geometry in Alexandria.
Kinematic intensities with the Lorentz-polarization factor, no thermal factor.

Structure:
a b c (Å): 10.3917 10.3917 25.1998
angles (deg): 90.00 90.00 120.00
Space group R-3m (No. 166, hexagonal axes)
Symmetry-distinct sites (fractional):
Ce  0.0000  0.0000  0.1247
Al  0.0000  0.0000  0.0000
Al  0.0000  0.0000  0.5000
Al  0.0000  0.5000  0.5000
Al  0.0015  0.2658  0.9410
Al  0.0206  0.5103  0.1854
Al  0.0888  0.1776  0.2354
Al  0.0911  0.1822  0.4215
Al  0.0924  0.1848  0.6700
Mo  0.0000  0.5000  0.0000

Principal peaks in the range 2θ = 10–90°, by angle:
2θ/deg	I/Imax	h k l
17.18	41	1 0 4
20.07	100	0 2 1
34.52	33	2 2 0
34.76	32	2 0 8
36.17	26	1 3 1
38.81	41	1 3 4
40.29	83	4 0 1
40.74	24	0 4 2
40.84	48	2 2 6
72.81	24	4 4 0